# 1
Diffraction record for ZrTaCr2O8. The powder X-ray diffraction pattern is theoretical, not measured: it uses DFT lattice parameters and positions (PBE+U) and Cu Ka.
Neutral-atom scattering factors, no anomalous dispersion.

Largest 12 diffraction maxima, in order of rising 2θ, 10 to 90 degrees two-theta:
Position (°2θ)  I (rel.)
18.85  36
23.65  13
26.78  100
34.43  73
38.23  19
39.54  18
42.95  12
52.39  64
55.17  16
62.36  13
66.02  14
66.68  20

Cell lengths 4.7085, 4.7085, 6.2532 Å; angles 90.00, 90.00, 90.00 degrees
Positions (direct):
Zr 0.0000 0.0000 0.0000
Ta 0.0000 0.0000 0.5000
Cr 0.5000 0.5000 0.2511
Cr 0.5000 0.5000 0.7489
O 0.1991 0.8009 0.2632
O 0.1991 0.8009 0.7368
O 0.3050 0.3050 0.5000
O 0.3153 0.3153 0.0000
O 0.6847 0.6847 0.0000
O 0.6950 0.6950 0.5000
O 0.8009 0.1991 0.2632
O 0.8009 0.1991 0.7368

# 2
Diffraction record for TbCrO3. The powder X-ray diffraction pattern is theoretical, not measured: it uses DFT lattice parameters and positions (PBE+U) and Cu Ka.
Neutral-atom scattering factors, no anomalous dispersion.

Largest 12 diffraction maxima, in order of rising 2θ, 10 to 90 degrees two-theta:
Position (°2θ)  I (rel.)
23.01  23
23.18  16
25.81  22
31.86  18
32.89  100
33.65  24
33.99  14
47.02  17
47.38  14
48.58  14
53.22  25
59.70  21

Cell lengths 5.6179, 7.6753, 5.3262 Å; angles 90.00, 90.00, 90.00 degrees
Positions (direct):
Tb 0.0666 0.2500 0.0187
Tb 0.4334 0.7500 0.5187
Tb 0.5666 0.2500 0.4813
Tb 0.9334 0.7500 0.9813
Cr 0.0000 0.0000 0.5000
Cr 0.0000 0.5000 0.5000
Cr 0.5000 0.0000 0.0000
Cr 0.5000 0.5000 0.0000
O 0.0390 0.7500 0.3896
O 0.1978 0.5567 0.8062
O 0.1978 0.9433 0.8062
O 0.3022 0.0567 0.3062
O 0.3022 0.4433 0.3062
O 0.4610 0.2500 0.8896
O 0.5390 0.7500 0.1104
O 0.6978 0.5567 0.6938
O 0.6978 0.9433 0.6938
O 0.8022 0.0567 0.1938
O 0.8022 0.4433 0.1938
O 0.9610 0.2500 0.6104

# 3
Diffraction record for TlCrTc2O8. The powder X-ray diffraction pattern is theoretical, not measured: it uses DFT lattice parameters and positions (PBE+U) and Cu Ka.
Neutral-atom scattering factors, no anomalous dispersion.

Largest 12 diffraction maxima, in order of rising 2θ, 10 to 90 degrees two-theta:
Position (°2θ)  I (rel.)
18.92  25
21.89  100
29.11  95
33.09  72
34.92  16
40.02  23
44.64  35
52.85  18
56.69  53
59.07  16
69.42  14
76.98  19

Cell lengths 5.4174, 5.4174, 8.1065 Å; angles 90.00, 90.00, 120.00 degrees
Positions (direct):
Tl 0.0000 0.0000 0.0000
Cr 0.0000 0.0000 0.5000
Tc 0.3333 0.6667 0.7204
Tc 0.6667 0.3333 0.2796
O 0.0538 0.3281 0.6507
O 0.2743 0.9462 0.6507
O 0.3281 0.2743 0.3493
O 0.3333 0.6667 0.9361
O 0.6667 0.3333 0.0639
O 0.6719 0.7257 0.6507
O 0.7257 0.0538 0.3493
O 0.9462 0.6719 0.3493

# 4
Diffraction record for ThCr2TeO8. The powder X-ray diffraction pattern is theoretical, not measured: it uses DFT lattice parameters and positions (PBE+U) and Cu Ka.
Neutral-atom scattering factors, no anomalous dispersion.

Largest 12 diffraction maxima, in order of rising 2θ, 10 to 90 degrees two-theta:
Position (°2θ)  I (rel.)
18.78  62
26.54  74
26.83  55
32.72  100
38.10  50
42.60  15
50.90  40
51.24  38
54.66  19
61.91  19
65.46  23
68.57  16

Cell lengths 4.7249, 4.7249, 6.7154 Å; angles 90.00, 90.00, 90.63 degrees
Positions (direct):
Th 0.0000 0.0000 0.0000
Cr 0.5000 0.5000 0.2586
Cr 0.5000 0.5000 0.7414
Te 0.0000 0.0000 0.5000
O 0.1975 0.1975 0.2858
O 0.1975 0.1975 0.7142
O 0.2964 0.7036 0.5000
O 0.3273 0.6727 0.0000
O 0.6727 0.3273 0.0000
O 0.7036 0.2964 0.5000
O 0.8025 0.8025 0.2858
O 0.8025 0.8025 0.7142

# 5
Diffraction record for TmCrTe2O8. The powder X-ray diffraction pattern is theoretical, not measured: it uses DFT lattice parameters and positions (PBE+U) and Cu Ka.
Neutral-atom scattering factors, no anomalous dispersion.

Largest 12 diffraction maxima, in order of rising 2θ, 10 to 90 degrees two-theta:
Position (°2θ)  I (rel.)
16.88  19
22.52  100
29.46  85
34.49  46
37.40  18
45.98  28
48.31  30
52.26  16
55.09  19
55.55  29
61.14  15
72.12  11

Cell lengths 6.0635, 6.0635, 5.9874 Å; angles 90.00, 90.00, 120.00 degrees
Positions (direct):
Tm 0.0000 0.0000 0.0000
Cr 0.0000 0.0000 0.5000
Te 0.3333 0.6667 0.3313
Te 0.6667 0.3333 0.6687
O 0.1464 0.2928 0.2693
O 0.1464 0.8536 0.2693
O 0.2928 0.1464 0.7307
O 0.3333 0.6667 0.6329
O 0.6667 0.3333 0.3671
O 0.7072 0.8536 0.2693
O 0.8536 0.1464 0.7307
O 0.8536 0.7072 0.7307

# 6
Diffraction record for YbCrTeO6. The powder X-ray diffraction pattern is theoretical, not measured: it uses DFT lattice parameters and positions (PBE+U) and Cu Ka.
Neutral-atom scattering factors, no anomalous dispersion.

Largest 12 diffraction maxima, in order of rising 2θ, 10 to 90 degrees two-theta:
Position (°2θ)  I (rel.)
21.74  9
26.81  100
34.61  34
36.30  7
44.32  24
51.03  37
57.42  23
59.72  10
62.03  12
79.36  9
81.35  9
84.38  8

Cell lengths 5.1832, 5.1832, 9.8985 Å; angles 90.00, 90.00, 120.00 degrees
Positions (direct):
Yb 0.0000 0.0000 0.0000
Yb 0.0000 0.0000 0.5000
Cr 0.3333 0.6667 0.2509
Cr 0.6667 0.3333 0.7491
Te 0.3333 0.6667 0.7499
Te 0.6667 0.3333 0.2501
O 0.0067 0.3671 0.6399
O 0.0066 0.6395 0.8586
O 0.3605 0.3670 0.8586
O 0.3604 0.9933 0.6399
O 0.3670 0.0066 0.1414
O 0.3671 0.3604 0.3601
O 0.6329 0.6396 0.6399
O 0.6330 0.9934 0.8586
O 0.6396 0.0067 0.3601
O 0.6395 0.6330 0.1414
O 0.9934 0.3605 0.1414
O 0.9933 0.6329 0.3601

# 7
Diffraction record for TiCrO4. The powder X-ray diffraction pattern is theoretical, not measured: it uses DFT lattice parameters and positions (PBE+U) and Cu Ka.
Neutral-atom scattering factors, no anomalous dispersion.

Largest 12 diffraction maxima, in order of rising 2θ, 10 to 90 degrees two-theta:
Position (°2θ)  I (rel.)
25.43  100
36.59  7
36.90  22
38.63  9
48.51  28
52.95  20
55.55  18
62.47  15
67.64  7
71.03  7
74.63  12
82.84  6

Cell lengths 3.7534, 3.7534, 9.7428 Å; angles 90.00, 90.00, 90.00 degrees
Positions (direct):
Ti 0.0000 0.0000 0.0000
Ti 0.5000 0.5000 0.5000
Cr 0.0000 0.5000 0.7500
Cr 0.5000 0.0000 0.2500
O 0.0000 0.0000 0.2113
O 0.0000 0.0000 0.7887
O 0.0000 0.5000 0.5467
O 0.0000 0.5000 0.9533
O 0.5000 0.0000 0.0467
O 0.5000 0.0000 0.4533
O 0.5000 0.5000 0.2887
O 0.5000 0.5000 0.7113

# 8
Diffraction record for TiCrO2. The powder X-ray diffraction pattern is theoretical, not measured: it uses DFT lattice parameters and positions (PBE+U) and Cu Ka.
Neutral-atom scattering factors, no anomalous dispersion.

Largest 12 diffraction maxima, in order of rising 2θ, 10 to 90 degrees two-theta:
Position (°2θ)  I (rel.)
14.73  4
29.70  32
34.13  10
35.24  100
39.38  31
53.29  36
60.39  26
62.20  21
68.73  15
71.88  10
74.51  5
84.73  8

Cell lengths 3.0658, 3.0658, 18.0453 Å; angles 90.00, 90.00, 120.00 degrees
Positions (direct):
Ti 0.0000 0.0000 0.0000
Ti 0.3333 0.6667 0.6667
Ti 0.6667 0.3333 0.3333
Cr 0.0000 0.0000 0.5000
Cr 0.3333 0.6667 0.1667
Cr 0.6667 0.3333 0.8333
O 0.0000 0.0000 0.3897
O 0.0000 0.0000 0.6103
O 0.3333 0.6667 0.0563
O 0.3333 0.6667 0.2770
O 0.6667 0.3333 0.7230
O 0.6667 0.3333 0.9437

# 9
Diffraction record for TlCr3O8. The powder X-ray diffraction pattern is theoretical, not measured: it uses DFT lattice parameters and positions (PBE+U) and Cu Ka.
Neutral-atom scattering factors, no anomalous dispersion.

Largest 12 diffraction maxima, in order of rising 2θ, 10 to 90 degrees two-theta:
Position (°2θ)  I (rel.)
19.26  64
22.34  80
29.83  100
33.68  54
35.61  25
40.79  15
40.92  19
45.60  34
50.37  15
53.89  15
57.87  30
58.26  20

Cell lengths 5.3227, 5.3227, 7.8813 Å; angles 90.00, 90.00, 120.00 degrees
Positions (direct):
Tl 0.0000 0.0000 0.0000
Cr 0.0000 0.0000 0.5000
Cr 0.3333 0.6667 0.7170
Cr 0.6667 0.3333 0.2830
O 0.0867 0.3327 0.6513
O 0.2461 0.9133 0.6513
O 0.3327 0.2461 0.3487
O 0.3333 0.6667 0.9242
O 0.6667 0.3333 0.0758
O 0.6673 0.7539 0.6513
O 0.7539 0.0867 0.3487
O 0.9133 0.6673 0.3487

# 10
Diffraction record for TmTlCr2O8. The powder X-ray diffraction pattern is theoretical, not measured: it uses DFT lattice parameters and positions (PBE+U) and Cu Ka.
Neutral-atom scattering factors, no anomalous dispersion.

Largest 12 diffraction maxima, in order of rising 2θ, 10 to 90 degrees two-theta:
Position (°2θ)  I (rel.)
17.78  94
21.15  26
29.09  100
31.04  60
38.89  27
43.06  42
48.25  17
50.31  14
54.03  35
55.23  12
57.10  22
72.48  15

Cell lengths 5.7617, 5.7617, 7.7877 Å; angles 90.00, 90.00, 120.00 degrees
Positions (direct):
Tm 0.0000 0.0000 0.0000
Tl 0.0000 0.0000 0.5000
Cr 0.3333 0.6667 0.7548
Cr 0.6667 0.3333 0.2452
O 0.1742 0.3484 0.8249
O 0.1742 0.8258 0.8249
O 0.3333 0.6667 0.5465
O 0.3484 0.1742 0.1751
O 0.6516 0.8258 0.8249
O 0.6667 0.3333 0.4535
O 0.8258 0.1742 0.1751
O 0.8258 0.6516 0.1751

# 11
Diffraction record for Tl2ZnCrO4. The powder X-ray diffraction pattern is theoretical, not measured: it uses DFT lattice parameters and positions (PBE+U) and Cu Ka.
Neutral-atom scattering factors, no anomalous dispersion.

Largest 12 diffraction maxima, in order of rising 2θ, 10 to 90 degrees two-theta:
Position (°2θ)  I (rel.)
18.98  33
23.08  100
28.33  53
30.68  76
31.31  82
37.30  49
42.24  22
44.79  36
46.48  23
52.06  23
53.85  40
56.22  20

Cell lengths 11.4961, 9.9631, 6.8200 Å; angles 84.25, 59.57, 36.18 degrees
Positions (direct):
Tl 0.0468 0.0468 0.7032
Tl 0.2968 0.2968 0.9532
Tl 0.7032 0.7032 0.0468
Tl 0.9532 0.9532 0.2968
Zn 0.3750 0.3750 0.3750
Zn 0.6250 0.6250 0.6250
Cr 0.1250 0.1250 0.1250
Cr 0.8750 0.8750 0.8750
O 0.0347 0.3221 0.3666
O 0.2234 0.6334 0.6779
O 0.3221 0.0347 0.7766
O 0.3666 0.7766 0.0347
O 0.6334 0.2234 0.9653
O 0.6779 0.9653 0.2234
O 0.7766 0.3666 0.3221
O 0.9653 0.6779 0.6334

# 12
Diffraction record for ZrTlCrO6. The powder X-ray diffraction pattern is theoretical, not measured: it uses DFT lattice parameters and positions (PBE+U) and Cu Ka.
Neutral-atom scattering factors, no anomalous dispersion.

Largest 12 diffraction maxima, in order of rising 2θ, 10 to 90 degrees two-theta:
Position (°2θ)  I (rel.)
18.94  21
19.57  32
26.19  100
26.57  98
27.84  85
33.49  65
34.60  25
42.95  27
43.06  24
45.22  22
50.11  27
52.05  32

Cell lengths 5.3578, 5.3578, 4.8180 Å; angles 91.91, 91.91, 121.98 degrees
Positions (direct):
Zr 0.0000 0.0000 0.0000
Tl 0.6572 0.3428 0.5000
Cr 0.3360 0.6640 0.0000
O 0.0117 0.6784 0.7650
O 0.0517 0.3959 0.2023
O 0.2961 0.3544 0.7717
O 0.3216 0.9883 0.2350
O 0.6041 0.9483 0.7977
O 0.6456 0.7039 0.2283

# 13
Diffraction record for TmCrO5. The powder X-ray diffraction pattern is theoretical, not measured: it uses DFT lattice parameters and positions (PBE+U) and Cu Ka.
Neutral-atom scattering factors, no anomalous dispersion.

Largest 12 diffraction maxima, in order of rising 2θ, 10 to 90 degrees two-theta:
Position (°2θ)  I (rel.)
17.48  36
23.54  100
24.82  94
34.47  34
35.38  22
39.72  19
42.94  31
44.49  29
50.23  22
58.09  34
68.73  15
69.89  18

Cell lengths 7.1752, 7.1752, 4.4462 Å; angles 90.00, 90.00, 90.00 degrees
Positions (direct):
Tm 0.2500 0.2500 0.2481
Tm 0.7500 0.7500 0.7519
Cr 0.2500 0.7500 0.5000
Cr 0.7500 0.2500 0.5000
O 0.0602 0.7500 0.7145
O 0.2500 0.2500 0.7493
O 0.2500 0.5602 0.2855
O 0.2500 0.9398 0.2855
O 0.4398 0.7500 0.7145
O 0.5602 0.2500 0.2855
O 0.7500 0.0602 0.7145
O 0.7500 0.4398 0.7145
O 0.7500 0.7500 0.2507
O 0.9398 0.2500 0.2855